The following is a computed X-ray diffraction stick pattern of Hf6CuO. It was derived from a DFT-relaxed cell (PBE, Alexandria), using Cu Kα X-rays.
No peak broadening, texture or thermal motion is included.

Largest 10 diffraction maxima, in order of rising 2θ, 15 to 90 degrees two-theta:
(hkl)  two_theta  I_rel
1 1 -1  29.6  36.8
1 1 0  32.7  48.0
0 0 2  34.1  93.0
2 -1 0  34.9  92.1
-1 2 1  35.2  100.0
1 1 -2  35.8  82.5
1 -2 1  36.3  61.5
-2 1 2  36.8  52.8
1 1 1  43.3  33.5
-3 3 1  56.8  28.8

Cell and atoms:
a = 5.7159 Å, b = 5.7388 Å, c = 6.0104 Å
α = 90.21°, β = 115.73°, γ = 116.13°
Fractional coordinates of all 8 atoms:
Hf (0.0511, 0.1101, 0.2731)
Hf (0.2953, 0.5314, 0.7407)
Hf (0.2963, 0.7216, 0.2611)
Hf (0.7037, 0.2784, 0.7389)
Hf (0.7047, 0.4686, 0.2593)
Hf (0.9489, 0.8899, 0.7269)
Cu (0.5000, 0.0000, 0.0000)
O (0.5000, 0.5000, 0.5000)